Calculated X-ray powder pattern
Compound: NdTmCuAg
Radiation: Cu Kα
Structure: the GGA-PBE geometry in Alexandria

Structural model:
Cell: 7.2109 7.2109 7.2109 Å, 90.00 90.00 90.00°
Space group F-43m (No. 216)
One atom of each set of equivalent atoms:
Nd: 0.0000 0.0000 0.0000 x4
Tm: 0.0000 0.0000 0.5000 x4
Cu: 0.2500 0.2500 0.2500 x4
Ag: 0.2500 0.2500 0.7500 x4

The 12 most intense peaks (2θ = 10–90°), most intense first:
Position (°2θ), Rel. int.
35.20, 100
63.17, 35
50.64, 18
85.09, 16
74.42, 11
24.69, 8
57.12, 4
43.47, 3
21.34, 2
79.80, 2
41.54, 1
55.55, 1